1.
Starting from a crystal structure in Alexandria, relaxed with PBE, the X-ray powder pattern of Sm2InGa3Rh4 was computed for λ = 1.5418 Å (Cu Kα).

Main lines, in order of rising 2θ (2θ from 15° to 90°):
- 33.05°, rel. 43
- 34.19°, rel. 100
- 42.23°, rel. 54
- 48.26°, rel. 20
- 61.22°, rel. 26
- 72.05°, rel. 23

Atomic structure:
```
data_Sm2InGa3Rh4
_chemical_formula_sum 'Sm2 In1 Ga3 Rh4'
_space_group_name_H-M_alt 'P 1'
_space_group_IT_number 1
_cell_length_a 4.2801
_cell_length_b 4.2801
_cell_length_c 10.5038
_cell_angle_alpha 90.00
_cell_angle_beta 90.00
_cell_angle_gamma 90.00
loop_
_space_group_symop_operation_xyz
'x,y,z'
loop_
_atom_site_label
_atom_site_fract_x
_atom_site_fract_y
_atom_site_fract_z
Sm1 0.0000 0.5000 0.2325
Sm2 0.5000 0.0000 0.7675
In1 0.0000 0.0000 0.5000
Ga1 0.0000 0.5000 0.8791
Ga2 0.5000 0.0000 0.1209
Ga3 0.5000 0.5000 0.5000
Rh1 0.0000 0.0000 0.0000
Rh2 0.0000 0.5000 0.6460
Rh3 0.5000 0.0000 0.3540
Rh4 0.5000 0.5000 0.0000
```

***

2.
Starting from a crystal structure in Alexandria, relaxed with PBE, the X-ray powder pattern of Al2NiPt4 was computed for λ = 1.5418 Å (Cu Kα).

Main lines, in order of rising 2θ (2θ from 15° to 90°):
- 23.34°, rel. 100
- 32.39°, rel. 44
- 33.10°, rel. 61
- 40.31°, rel. 93
- 40.90°, rel. 64
- 53.11°, rel. 65

Atomic structure:
```
data_Al2NiPt4
_chemical_formula_sum 'Al2 Ni1 Pt4'
_space_group_name_H-M_alt 'P 1'
_space_group_IT_number 1
_cell_length_a 6.6202
_cell_length_b 6.0776
_cell_length_c 4.7083
_cell_angle_alpha 74.52
_cell_angle_beta 62.22
_cell_angle_gamma 43.27
loop_
_space_group_symop_operation_xyz
'x,y,z'
loop_
_atom_site_label
_atom_site_fract_x
_atom_site_fract_y
_atom_site_fract_z
Al1 0.1386 0.1386 0.8614
Al2 0.8614 0.8614 0.1386
Ni1 0.5000 0.5000 0.5000
Pt1 0.0000 0.0000 0.5000
Pt2 0.2500 0.2500 0.2500
Pt3 0.5000 0.5000 0.0000
Pt4 0.7500 0.7500 0.7500
```

***

3.
Starting from a crystal structure in Alexandria, relaxed with PBE, the X-ray powder pattern of ScSnIrRh was computed for λ = 1.5418 Å (Cu Kα).

Main lines, in order of rising 2θ (2θ from 15° to 90°):
- 23.99°, rel. 20
- 38.67°, rel. 100
- 41.62°, rel. 41
- 60.32°, rel. 14
- 67.94°, rel. 19
- 73.98°, rel. 30

Atomic structure:
```
data_ScSnIrRh
_chemical_formula_sum 'Sc1 Sn1 Ir1 Rh1'
_space_group_name_H-M_alt 'P 1'
_space_group_IT_number 1
_cell_length_a 4.7115
_cell_length_b 4.7115
_cell_length_c 4.7115
_cell_angle_alpha 125.15
_cell_angle_beta 125.15
_cell_angle_gamma 81.29
loop_
_space_group_symop_operation_xyz
'x,y,z'
loop_
_atom_site_label
_atom_site_fract_x
_atom_site_fract_y
_atom_site_fract_z
Sc1 0.0000 0.0000 0.0000
Sn1 0.5000 0.5000 0.0000
Ir1 0.7500 0.2500 0.5000
Rh1 0.2500 0.7500 0.5000
```

***

4.
Starting from a crystal structure in Alexandria, relaxed with PBE, the X-ray powder pattern of LiCd2In2Hg was computed for λ = 1.5418 Å (Cu Kα).

Main lines, in order of rising 2θ (2θ from 15° to 90°):
- 34.33°, rel. 100
- 34.76°, rel. 97
- 39.53°, rel. 74
- 41.22°, rel. 30
- 58.44°, rel. 43
- 68.13°, rel. 25

Atomic structure:
```
data_LiCd2In2Hg
_chemical_formula_sum 'Li2 Cd4 In4 Hg2'
_space_group_name_H-M_alt 'P 1'
_space_group_IT_number 1
_cell_length_a 4.3804
_cell_length_b 9.7623
_cell_length_c 6.3881
_cell_angle_alpha 90.00
_cell_angle_beta 90.00
_cell_angle_gamma 90.00
loop_
_space_group_symop_operation_xyz
'x,y,z'
loop_
_atom_site_label
_atom_site_fract_x
_atom_site_fract_y
_atom_site_fract_z
Li1 0.0000 0.1541 0.0000
Li2 0.0000 0.8459 0.5000
Cd1 0.0000 0.4990 0.9952
Cd2 0.0000 0.5010 0.4952
Cd3 0.5000 0.3314 0.7558
Cd4 0.5000 0.6686 0.2558
In1 0.0000 0.1636 0.5009
In2 0.0000 0.8364 0.0009
In3 0.5000 0.3265 0.2348
In4 0.5000 0.6735 0.7348
Hg1 0.5000 0.0097 0.7634
Hg2 0.5000 0.9903 0.2634
```

***

5.
Starting from a crystal structure in Alexandria, relaxed with PBE, the X-ray powder pattern of Pm2Mg3Cd4 was computed for λ = 1.5418 Å (Cu Kα).

Main lines, in order of rising 2θ (2θ from 15° to 90°):
- 22.03°, rel. 50
- 34.17°, rel. 100
- 35.09°, rel. 97
- 49.75°, rel. 23
- 62.36°, rel. 34
- 62.95°, rel. 17

Atomic structure:
```
data_Pm2Mg3Cd4
_chemical_formula_sum 'Pm2 Mg3 Cd4'
_space_group_name_H-M_alt 'P 1'
_space_group_IT_number 1
_cell_length_a 5.1129
_cell_length_b 5.1129
_cell_length_c 9.7732
_cell_angle_alpha 90.11
_cell_angle_beta 90.11
_cell_angle_gamma 60.06
loop_
_space_group_symop_operation_xyz
'x,y,z'
loop_
_atom_site_label
_atom_site_fract_x
_atom_site_fract_y
_atom_site_fract_z
Pm1 0.1667 0.1667 0.2879
Pm2 0.8333 0.8333 0.7121
Mg1 0.1669 0.1669 0.9302
Mg2 0.5000 0.5000 0.5000
Mg3 0.8331 0.8331 0.0698
Cd1 0.1665 0.1665 0.6059
Cd2 0.4998 0.4998 0.1517
Cd3 0.5002 0.5002 0.8483
Cd4 0.8335 0.8335 0.3941
```

***

6.
Starting from a crystal structure in Alexandria, relaxed with PBE, the X-ray powder pattern of Ba2Hg6Pb3 was computed for λ = 1.5418 Å (Cu Kα).

Main lines, in order of rising 2θ (2θ from 15° to 90°):
- 29.03°, rel. 100
- 30.41°, rel. 52
- 31.39°, rel. 43
- 37.53°, rel. 35
- 38.64°, rel. 25
- 40.76°, rel. 31

Atomic structure:
```
data_Ba2Hg6Pb3
_chemical_formula_sum 'Ba2 Hg6 Pb3'
_space_group_name_H-M_alt 'P 1'
_space_group_IT_number 1
_cell_length_a 9.3680
_cell_length_b 9.3680
_cell_length_c 4.4272
_cell_angle_alpha 90.00
_cell_angle_beta 90.00
_cell_angle_gamma 114.11
loop_
_space_group_symop_operation_xyz
'x,y,z'
loop_
_atom_site_label
_atom_site_fract_x
_atom_site_fract_y
_atom_site_fract_z
Ba1 0.2137 0.2137 0.0000
Ba2 0.7863 0.7863 0.0000
Hg1 0.1123 0.8877 0.5000
Hg2 0.1423 0.4696 0.5000
Hg3 0.4696 0.1423 0.5000
Hg4 0.5304 0.8577 0.5000
Hg5 0.8577 0.5304 0.5000
Hg6 0.8877 0.1123 0.5000
Pb1 0.2564 0.7436 0.0000
Pb2 0.5000 0.5000 0.5000
Pb3 0.7436 0.2564 0.0000
```

***

7.
Starting from a crystal structure in Alexandria, relaxed with PBE, the X-ray powder pattern of P3Ru2N was computed for λ = 1.5418 Å (Cu Kα).

Main lines, in order of rising 2θ (2θ from 15° to 90°):
- 17.05°, rel. 78
- 33.71°, rel. 100
- 34.97°, rel. 49
- 40.89°, rel. 50
- 44.18°, rel. 46
- 48.69°, rel. 36

Atomic structure:
```
data_P3Ru2N
_chemical_formula_sum 'P3 Ru2 N1'
_space_group_name_H-M_alt 'P 1'
_space_group_IT_number 1
_cell_length_a 5.3797
_cell_length_b 5.3797
_cell_length_c 5.5795
_cell_angle_alpha 110.35
_cell_angle_beta 110.35
_cell_angle_gamma 32.83
loop_
_space_group_symop_operation_xyz
'x,y,z'
loop_
_atom_site_label
_atom_site_fract_x
_atom_site_fract_y
_atom_site_fract_z
P1 0.0000 0.0000 0.0000
P2 0.1232 0.1232 0.5919
P3 0.2957 0.2957 0.2492
Ru1 0.4678 0.4678 0.6743
Ru2 0.7731 0.7731 0.9151
N1 0.1321 0.1321 0.2895
```

***

8.
Starting from a crystal structure in Alexandria, relaxed with PBE, the X-ray powder pattern of CsDySn2Cl8 was computed for λ = 1.5418 Å (Cu Kα).

Main lines, in order of rising 2θ (2θ from 15° to 90°):
- 18.29°, rel. 100
- 19.30°, rel. 86
- 21.53°, rel. 35
- 22.78°, rel. 54
- 23.63°, rel. 84
- 36.73°, rel. 47

Atomic structure:
```
data_CsDySn2Cl8
_chemical_formula_sum 'Cs1 Dy1 Sn2 Cl8'
_space_group_name_H-M_alt 'P 1'
_space_group_IT_number 1
_cell_length_a 6.4655
_cell_length_b 6.9728
_cell_length_c 9.5983
_cell_angle_alpha 84.11
_cell_angle_beta 87.60
_cell_angle_gamma 86.71
loop_
_space_group_symop_operation_xyz
'x,y,z'
loop_
_atom_site_label
_atom_site_fract_x
_atom_site_fract_y
_atom_site_fract_z
Cs1 0.0000 0.0000 0.0000
Dy1 0.0000 0.0000 0.5000
Sn1 0.4818 0.4786 0.2622
Sn2 0.5182 0.5214 0.7378
Cl1 0.2244 0.8282 0.3089
Cl2 0.2314 0.3136 0.4602
Cl3 0.2564 0.8636 0.7010
Cl4 0.2671 0.3929 0.0675
Cl5 0.7329 0.6071 0.9325
Cl6 0.7436 0.1364 0.2990
Cl7 0.7686 0.6864 0.5398
Cl8 0.7756 0.1718 0.6911
```